# Li2Fe3SnO8
Computed powder XRD pattern, a wavelength of 1.5418 Å. Input: a DFT-relaxed cell (GGA+U, Alexandria).

Crystal structure
```
28
Lattice="6.1397 0.0000 0.0000 0.0000 5.9661 0.0000 -5.9083 0.0000 8.5519" Properties=species:S:1:pos:R:3 pbc="T T T"
Li 0.0353 1.4873 1.1155
Li -2.9188 4.4788 5.3915
Li 3.1502 1.4873 3.1604
Li 0.1961 4.4788 7.4364
Fe 3.0699 0.0000 0.0000
Fe 0.1157 0.0000 4.2760
Fe -1.3614 1.4624 6.4139
Fe 3.0699 2.9831 0.0000
Fe 0.1157 2.9831 4.2760
Fe 1.5928 4.5037 2.1380
Sn -4.4312 1.4596 6.4139
Sn -1.4771 4.5066 2.1380
O -2.8674 2.8342 6.4903
O 0.0867 3.1319 2.2144
O -4.1968 1.4277 8.5033
O -1.2427 4.5384 4.2273
O -2.8706 0.0711 6.6004
O 0.0836 5.8950 2.3244
O -1.2023 1.4027 4.3650
O 1.7519 4.5634 0.0890
O -1.5205 1.4027 8.4629
O 1.4337 4.5634 4.1869
O 0.1478 0.0711 6.2275
O 3.1020 5.8950 1.9515
O 1.4741 1.4277 4.3246
O 4.4282 4.5384 0.0487
O 0.1447 2.8342 6.3376
O 3.0988 3.1319 2.0616
```

Largest 10 diffraction maxima, in order of rising 2θ, 2θ from 10° to 90°:
hkl 1 0 -2, 2θ 18.0, d = 4.924 Å, intensity 549
hkl 0 1 1, 2θ 18.1, d = 4.893 Å, intensity 1000
hkl 2 1 -1, 2θ 34.3, d = 2.616 Å, intensity 310
hkl 2 1 -3, 2θ 34.7, d = 2.582 Å, intensity 190
hkl 0 1 3, 2θ 34.9, d = 2.570 Å, intensity 383
hkl 0 2 2, 2θ 36.7, d = 2.447 Å, intensity 148
hkl 0 0 4, 2θ 42.3, d = 2.139 Å, intensity 826
hkl 2 3 -1, 2θ 56.0, d = 1.643 Å, intensity 128
hkl 2 2 2, 2θ 60.7, d = 1.527 Å, intensity 177
hkl 2 2 -6, 2θ 61.9, d = 1.498 Å, intensity 169